# RuAu4Se
Calculated powder diffraction line list, Cu Kα (weighted mean of Kα1 and Kα2). Input: a DFT-relaxed cell (GGA-PBE, Alexandria).
Peak positions follow from Bragg's law for the DFT cell and can differ from measured ones.

Structure:
```
RuAu4Se
1.0
0.0000 3.8855 3.8855
3.8855 0.0000 3.8855
3.8855 3.8855 0.0000
Ru Au Se
1 4 1
direct
0.0000 0.0000 0.0000
0.3749 0.3749 0.3749
0.3749 0.3749 0.8754
0.3749 0.8754 0.3749
0.8754 0.3749 0.3749
0.7500 0.7500 0.7500
```

Most intense lines, 10° ≤ 2θ ≤ 90°, sorted by position:
2θ (°)  Rel. int.
19.79  43
32.59  9
38.42  100
40.20  67
46.76  20
51.24  12
62.06  33
68.28  32
81.16  12
82.30  27